1.
Ba3Er: computed powder X-ray diffraction pattern (Cu Kα X-rays), based on a GGA-PBE-relaxed structure.
Kinematic intensities with the Lorentz-polarization factor, no thermal factor.

Principal peaks in the range 5° ≤ 2θ ≤ 70°, by angle:
hkl  2theta  I_rel
1 1 2  26.2  100.0
0 0 4  30.3  17.3
2 0 0  30.4  34.2
2 0 4  43.5  25.6
1 1 6  51.4  15.6
3 1 2  51.6  30.9
2 2 4  54.0  13.5
3 1 6  69.6  12.7

Crystal structure
a b c (Å): 5.876 5.876 11.805
angles (deg): 90.00 90.00 90.00
Space group I4/mmm (No. 139)
Asymmetric unit:
Ba: 0.000 0.000 0.000 x2
Ba: 0.000 0.500 0.250 x4
Er: 0.000 0.000 0.500 x2

=====

2.
Ba3Er: computed powder X-ray diffraction pattern (Cu Kα X-rays), based on a GGA-PBE-relaxed structure.
Kinematic intensities with the Lorentz-polarization factor, no thermal factor.

Principal peaks in the range 5° ≤ 2θ ≤ 70°, by angle:
hkl  2theta  I_rel
2 0 0  24.4  23.1
0 0 2  26.5  25.3
2 0 1  27.8  100.0
2 0 2  36.3  16.4
2 2 0  43.0  20.2
2 0 3  47.6  22.8
2 2 2  51.2  24.2
4 0 1  52.0  17.2

Crystal structure
a b c (Å): 8.4200 8.4200 6.7272
angles (deg): 90.00 90.00 120.00
Space group P6_3/mmc (No. 194)
Asymmetric unit:
Ba: 0.1722 0.3444 0.2500 x6
Er: 0.3333 0.6667 0.7500 x2

=====

3.
Ba4Er3F17: computed powder X-ray diffraction pattern (Cu Kα X-rays), based on a GGA-PBE-relaxed structure.
Kinematic intensities with the Lorentz-polarization factor, no thermal factor.

Principal peaks in the range 5° ≤ 2θ ≤ 70°, by angle:
hkl  2theta  I_rel
-1 2 1  25.9  100.0
2 1 -1  26.0  49.0
2 2 2  26.1  47.0
0 1 3  30.0  52.9
3 0 1  30.1  26.1
1 2 -3  43.0  56.1
4 -2 0  50.9  50.4
5 1 0  51.1  23.8

Crystal structure
a b c (Å): 9.358 9.391 9.400
angles (deg): 72.69 72.86 72.97
Space group P1 (No. 1)
Asymmetric unit:
Ba: 0.000 0.000 0.000 x1
Ba: 0.046 0.619 0.789 x1
Ba: 0.419 0.846 0.678 x1
Ba: 0.466 0.466 0.465 x1
Ba: 0.619 0.787 0.047 x1
Ba: 0.677 0.420 0.848 x1
Ba: 0.788 0.047 0.619 x1
Ba: 0.847 0.677 0.419 x1
Er: 0.124 0.266 0.560 x1
Er: 0.201 0.897 0.341 x1
Er: 0.260 0.555 0.128 x1
Er: 0.340 0.203 0.899 x1
Er: 0.569 0.125 0.264 x1
Er: 0.915 0.341 0.203 x1
F: 0.021 0.548 0.137 x1
F: 0.081 0.280 0.989 x1
F: 0.097 0.774 0.223 x1
F: 0.143 0.032 0.529 x1
F: 0.185 0.287 0.231 x1
F: 0.186 0.479 0.389 x1
F: 0.187 0.745 0.918 x1
F: 0.222 0.097 0.773 x1
F: 0.244 0.369 0.692 x1
F: 0.279 0.721 0.548 x1
F: 0.279 0.996 0.083 x1
F: 0.324 0.435 0.933 x1
F: 0.369 0.693 0.244 x1
F: 0.384 0.186 0.471 x1
F: 0.432 0.939 0.322 x1
F: 0.464 0.646 0.955 x1
F: 0.472 0.383 0.186 x1
F: 0.511 0.001 0.819 x1
F: 0.527 0.144 0.033 x1
F: 0.547 0.279 0.721 x1
F: 0.593 0.594 0.594 x1
F: 0.647 0.954 0.466 x1
F: 0.692 0.243 0.369 x1
F: 0.721 0.548 0.279 x1
F: 0.733 0.733 0.733 x1
F: 0.744 0.919 0.187 x1
F: 0.773 0.222 0.097 x1
F: 0.819 0.511 0.001 x1
F: 0.872 0.873 0.872 x1
F: 0.918 0.187 0.745 x1
F: 0.927 0.324 0.442 x1
F: 0.954 0.466 0.647 x1
F: 0.993 0.080 0.280 x1
F: 0.999 0.819 0.512 x1

=====

4.
Ba6Er2Ga4O15: computed powder X-ray diffraction pattern (Cu Kα X-rays), based on a GGA-PBE-relaxed structure.
Kinematic intensities with the Lorentz-polarization factor, no thermal factor.

Principal peaks in the range 5° ≤ 2θ ≤ 70°, by angle:
hkl  2theta  I_rel
0 0 6  28.8  47.4
0 2 0  29.7  51.3
2 1 -3  30.1  94.4
2 1 3  30.6  100.0
0 2 6  41.8  44.1
4 0 0  45.2  21.1
2 3 3  53.2  18.6
4 2 0  55.0  23.3

Crystal structure
a b c (Å): 8.032 6.025 18.631
angles (deg): 90.00 91.31 90.00
Space group P2/c (No. 13)
Asymmetric unit:
Ba: 0.000 0.171 0.250 x2
Ba: 0.001 0.255 0.579 x4
Ba: 0.473 0.248 0.910 x4
Ba: 0.500 0.224 0.250 x2
Er: 0.253 0.247 0.090 x4
Ga: 0.254 0.248 0.442 x4
Ga: 0.270 0.273 0.733 x4
O: 0.031 0.255 0.409 x4
O: 0.188 0.171 0.817 x4
O: 0.225 0.457 0.189 x4
O: 0.251 0.046 0.663 x4
O: 0.265 0.491 0.507 x4
O: 0.266 0.009 0.000 x4
O: 0.454 0.263 0.392 x4
O: 0.500 0.299 0.750 x2

=====

5.
Ba2ErInSe5: computed powder X-ray diffraction pattern (Cu Kα X-rays), based on a GGA-PBE-relaxed structure.
Kinematic intensities with the Lorentz-polarization factor, no thermal factor.

Principal peaks in the range 5° ≤ 2θ ≤ 70°, by angle:
hkl  2theta  I_rel
1 3 0  25.0  26.4
0 6 1  28.9  58.6
1 1 3  29.1  100.0
1 5 2  34.2  42.4
1 7 2  41.5  21.9
2 0 0  42.1  34.1
1 7 4  47.9  26.3
2 6 1  51.9  23.2

Crystal structure
a b c (Å): 4.295 19.028 13.492
angles (deg): 90.00 90.00 90.00
Space group Cmc2_1 (No. 36)
Asymmetric unit:
Ba: 0.000 0.118 0.000 x4
Ba: 0.000 0.133 0.632 x4
Er: 0.000 0.212 0.337 x4
In: 0.000 0.447 0.756 x4
Se: 0.000 0.052 0.370 x4
Se: 0.000 0.291 0.974 x4
Se: 0.000 0.313 0.691 x4
Se: 0.000 0.355 0.319 x4
Se: 0.000 0.495 0.085 x4

=====

6.
Ba2ErMgNbO6: computed powder X-ray diffraction pattern (Cu Kα X-rays), based on a GGA-PBE-relaxed structure.
Kinematic intensities with the Lorentz-polarization factor, no thermal factor.

Principal peaks in the range 5° ≤ 2θ ≤ 70°, by angle:
hkl  2theta  I_rel
1 1 -1  20.0  22.2
1 1 1  27.1  50.1
0 2 0  29.8  100.0
1 1 -2  31.4  28.4
4 0 0  40.7  30.9
0 2 2  43.9  34.8
3 1 1  44.0  13.6
6 0 -2  52.8  20.2

Crystal structure
a b c (Å): 10.408 5.995 6.659
angles (deg): 90.00 121.56 90.00
Space group Cm (No. 8)
Asymmetric unit:
Ba: 0.000 0.000 0.000 x2
Ba: 0.040 0.500 0.622 x2
Er: 0.208 0.000 0.625 x2
Mg: 0.370 0.000 0.110 x2
Nb: 0.235 0.500 0.206 x2
O: 0.219 0.256 0.403 x4
O: 0.233 0.246 0.945 x4
O: 0.464 0.500 0.404 x2
O: 0.478 0.000 0.944 x2